Ca2AgBr: calculated X-ray powder pattern (Cu Kα X-rays), based on a DFT-relaxed cell (PBE, Alexandria).
Neutral-atom scattering factors, no anomalous dispersion.

Cell and atoms:
a b c (Å): 7.1723 4.1313 8.4176
angles (deg): 90.00 106.61 90.00
Space group C2/m (No. 12)
Unique sites:
1 Ca 0.2434 0.0000 0.2277 x4
2 Ag 0.0000 0.5000 0.0000 x2
3 Br 0.0000 0.0000 0.5000 x2

Peak list (12 most intense, 2θ = 10–90°, low angle first)
two_theta  I (rel.)
10.97  7
22.04  11
25.94  20
28.97  100
38.97  42
43.77  31
44.95  9
53.35  17
60.09  7
64.59  11
71.45  9
77.16  7